Diffraction record for Er2Fe17C3. The powder diffractogram is computed, not measured: it uses a cell relaxed with PBE and Cu Kα (weighted mean of Kα1 and Kα2).
Peak positions follow from Bragg's law for the DFT cell and can differ from measured ones.

Top 12 peaks for 10 to 90 degrees two-theta, sorted by position:
(hkl)  2θ (°)  intensity
1 1 3  29.86  458
3 0 0  36.21  408
0 2 4  37.57  308
2 2 0  42.05  746
3 0 3  42.39  1000
2 1 4  43.26  213
0 0 6  43.40  342
2 0 5  43.59  149
1 4 3  61.25  218
2 2 6  62.03  198
6 0 0  76.84  165
3 0 9  78.95  161

Structure:
```
data_Er2Fe17C3
_chemical_formula_sum 'Er6 Fe51 C9'
_cell_length_a 8.5945
_cell_length_b 8.5945
_cell_length_c 12.5093
_cell_angle_alpha 90.00
_cell_angle_beta 90.00
_cell_angle_gamma 120.00
_symmetry_space_group_name_H-M 'R -3 m'
_symmetry_Int_Tables_number 166
_symmetry_space_group_name_Hall '-R 3 2"'
loop_
_atom_site_label
_atom_site_type_symbol
_atom_site_fract_x
_atom_site_fract_y
_atom_site_fract_z
_atom_site_occupancy
Er1 Er 0.0000 0.0000 0.1575 1
Fe1 Fe 0.0000 0.0000 0.4043 1
Fe2 Fe 0.0000 0.2838 0.5000 1
Fe3 Fe 0.0000 0.5000 0.0000 1
Fe4 Fe 0.0068 0.5034 0.3475 1
C1 C 0.0000 0.5000 0.5000 1
```